# CaAgO2
Simulated PXRD pattern, Cu Ka. Input: a cell relaxed with PBE.
Kinematic intensities with the Lorentz-polarization factor, no thermal factor.

Top 8 peaks for 5 to 70 degrees two-theta, by angle:
Position (°2θ)	intensity
18.40	44
32.22	70
32.56	65
37.29	51
37.72	100
42.28	20
54.09	61
64.46	20

Atomic structure:
```
CaAgO2
1.0
3.399 -4.822 0.000
3.399 4.822 0.000
0.000 0.000 3.347
Ca Ag O
2 2 4
Direct
0.000 0.500 0.000 Ca
0.500 0.000 0.000 Ca
0.000 0.000 0.500 Ag
0.500 0.500 0.500 Ag
0.223 0.777 0.500 O
0.291 0.291 0.000 O
0.709 0.709 0.000 O
0.777 0.223 0.500 O
```

---

# ZnH9C5NO6
Simulated PXRD pattern, Cu Ka. Input: a cell relaxed with PBE.
Kinematic intensities with the Lorentz-polarization factor, no thermal factor.

Top 8 peaks for 5 to 70 degrees two-theta, by angle:
Position (°2θ)	intensity
14.80	100
20.31	57
21.66	38
24.81	27
29.92	17
32.52	14
32.65	27
37.19	15

Atomic structure:
```
ZnH9C5NO6
1.0
7.118 -4.097 0.000
7.118 4.097 0.000
-4.708 0.000 7.393
Zn H C N O
2 18 10 2 12
Direct
0.247 0.753 0.500 Zn
0.753 0.247 0.000 Zn
0.001 0.910 0.751 H
0.074 0.343 0.555 H
0.084 0.415 0.249 H
0.136 0.408 0.905 H
0.145 0.658 0.024 H
0.343 0.074 0.055 H
0.390 0.863 0.097 H
0.408 0.136 0.405 H
0.415 0.084 0.749 H
0.499 0.582 0.249 H
0.530 0.852 0.976 H
0.582 0.499 0.749 H
0.614 0.924 0.445 H
0.658 0.145 0.524 H
0.852 0.530 0.476 H
0.863 0.390 0.597 H
0.910 0.001 0.251 H
0.924 0.614 0.945 H
0.003 0.045 0.753 C
0.045 0.003 0.253 C
0.061 0.566 0.914 C
0.448 0.496 0.751 C
0.464 0.937 0.087 C
0.496 0.448 0.251 C
0.549 0.947 0.747 C
0.566 0.061 0.414 C
0.937 0.464 0.587 C
0.947 0.549 0.247 C
0.603 0.999 0.249 N
0.999 0.603 0.749 N
0.025 0.103 0.166 O
0.103 0.025 0.666 O
0.212 0.904 0.341 O
0.282 0.595 0.663 O
0.396 0.472 0.339 O
0.472 0.396 0.839 O
0.527 0.782 0.660 O
0.595 0.282 0.163 O
0.715 0.967 0.833 O
0.782 0.527 0.160 O
0.904 0.212 0.841 O
0.967 0.715 0.333 O
```